1.
Diffraction record for Y2Th8O19. The PXRD pattern is theoretical, not measured: it uses a crystal structure in the Materials Project, relaxed with PBE and CuKα.
Intensities are scaled so that the largest is 100.

Crystal structure
abc: 3.7820 4.0523 27.5215
angles: 90.00 90.00 90.00
Element x y z (fractional)
Y  0.0000  0.0000  0.0000
Y  0.5000  0.5000  0.1101
Th  0.0000  0.0000  0.2006
Th  0.0000  0.0000  0.4037
Th  0.0000  0.0000  0.6046
Th  0.0000  0.0000  0.8058
Th  0.5000  0.5000  0.3033
Th  0.5000  0.5000  0.5043
Th  0.5000  0.5000  0.7049
Th  0.5000  0.5000  0.9059
O  0.0000  0.5000  0.0581
O  0.0000  0.5000  0.1546
O  0.0000  0.5000  0.2555
O  0.0000  0.5000  0.3534
O  0.0000  0.5000  0.4558
O  0.0000  0.5000  0.5539
O  0.0000  0.5000  0.6563
O  0.0000  0.5000  0.7542
O  0.0000  0.5000  0.8564
O  0.0000  0.5000  0.9537
O  0.5000  0.0000  0.1485
O  0.5000  0.0000  0.2497
O  0.5000  0.0000  0.3548
O  0.5000  0.0000  0.4532
O  0.5000  0.0000  0.5560
O  0.5000  0.0000  0.6542
O  0.5000  0.0000  0.7573
O  0.5000  0.0000  0.8561
O  0.5000  0.0000  0.9622

Most intense lines, 10 to 90 degrees two-theta, in order of rising 2θ:
| Position (°2θ) | I (rel.) |
| --- | --- |
| 27.33 | 100 |
| 28.64 | 87 |
| 32.38 | 45 |
| 32.54 | 23 |
| 44.73 | 18 |
| 46.56 | 61 |
| 48.12 | 14 |
| 53.98 | 31 |
| 55.68 | 14 |
| 56.22 | 28 |


2.
Diffraction record for Ge3Ir2Se3. The PXRD pattern is theoretical, not measured: it uses a crystal structure in the Materials Project, relaxed with PBE and CuKα.
Intensities are scaled so that the largest is 100.

Crystal structure
abc: 8.7536 8.7536 8.7536
angles: 90.00 90.00 90.00
Element x y z (fractional)
Ge  0.0000  0.1412  0.3290
Ge  0.0000  0.1412  0.6710
Ge  0.0000  0.8588  0.3290
Ge  0.0000  0.8588  0.6710
Ge  0.1412  0.3290  0.0000
Ge  0.1412  0.6710  0.0000
Ge  0.3290  0.0000  0.1412
Ge  0.3290  0.0000  0.8588
Ge  0.6710  0.0000  0.1412
Ge  0.6710  0.0000  0.8588
Ge  0.8588  0.3290  0.0000
Ge  0.8588  0.6710  0.0000
Ir  0.2547  0.2547  0.2547
Ir  0.2547  0.2547  0.7453
Ir  0.2547  0.7453  0.2547
Ir  0.2547  0.7453  0.7453
Ir  0.7453  0.2547  0.2547
Ir  0.7453  0.2547  0.7453
Ir  0.7453  0.7453  0.2547
Ir  0.7453  0.7453  0.7453
Se  0.1612  0.5000  0.3512
Se  0.1612  0.5000  0.6488
Se  0.3512  0.1612  0.5000
Se  0.3512  0.8388  0.5000
Se  0.5000  0.3512  0.1612
Se  0.5000  0.3512  0.8388
Se  0.5000  0.6488  0.1612
Se  0.5000  0.6488  0.8388
Se  0.6488  0.1612  0.5000
Se  0.6488  0.8388  0.5000
Se  0.8388  0.5000  0.3512
Se  0.8388  0.5000  0.6488

Most intense lines, 10 to 90 degrees two-theta, in order of rising 2θ:
| Position (°2θ) | I (rel.) |
| --- | --- |
| 20.29 | 96 |
| 28.85 | 56 |
| 32.34 | 65 |
| 35.53 | 29 |
| 38.48 | 23 |
| 46.39 | 100 |
| 51.12 | 69 |
| 53.37 | 20 |
| 67.70 | 21 |
| 71.49 | 22 |


3.
Diffraction record for Cs2RbInBr6. The PXRD pattern is theoretical, not measured: it uses a crystal structure in the Materials Project, relaxed with PBE and CuKα.
Intensities are scaled so that the largest is 100.

Crystal structure
abc: 8.4613 8.4613 8.4613
angles: 60.00 60.00 60.00
Element x y z (fractional)
Cs  0.2500  0.2500  0.2500
Cs  0.7500  0.7500  0.7500
Rb  0.0000  0.0000  0.0000
In  0.5000  0.5000  0.5000
Br  0.2737  0.2737  0.7263
Br  0.2737  0.7263  0.2737
Br  0.2737  0.7263  0.7263
Br  0.7263  0.2737  0.2737
Br  0.7263  0.2737  0.7263
Br  0.7263  0.7263  0.2737

Most intense lines, 10 to 90 degrees two-theta, in order of rising 2θ:
| Position (°2θ) | I (rel.) |
| --- | --- |
| 21.00 | 54 |
| 25.79 | 63 |
| 29.87 | 100 |
| 36.80 | 21 |
| 42.75 | 69 |
| 48.09 | 16 |
| 50.60 | 23 |
| 53.02 | 23 |
| 70.37 | 26 |
| 78.28 | 18 |